This entry pairs a crystal structure of KAsSe3O with its simulated XRD peak list. Radiation: Cu Ka. Structure: a crystal structure in the Materials Project, relaxed with PBE.
Intensities are scaled so that the largest is 1000.

Peak list (10 most intense, 5° ≤ 2θ ≤ 70°, most intense first)
2θ/deg, I (rel.)
34.22, 1000
26.12, 788
8.44, 749
46.46, 526
17.32, 509
30.47, 497
58.95, 281
23.14, 268
49.17, 267
31.67, 264

Structural model:
```
KAsSe3O
1.0
10.477 -2.622 0.000
10.477 2.622 0.000
-0.007 0.000 11.735
K As Se O
4 4 12 4
Direct
0.101 0.899 0.500
0.753 0.969 0.322
0.899 0.101 0.000
0.969 0.753 0.822
0.225 0.272 0.071
0.272 0.225 0.571
0.597 0.643 0.251
0.643 0.597 0.751
0.091 0.141 0.283
0.141 0.091 0.783
0.200 0.263 0.277
0.263 0.200 0.777
0.333 0.400 0.071
0.400 0.333 0.571
0.497 0.509 0.742
0.509 0.497 0.242
0.602 0.665 0.045
0.665 0.602 0.545
0.746 0.751 0.533
0.751 0.746 0.033
0.152 0.827 0.767
0.243 0.528 0.448
0.528 0.243 0.948
0.827 0.152 0.267
```